Theoretical powder X-ray diffraction pattern
Compound: PrEr3B4O12
Radiation: Cu Kα
Structure: a structure optimized by DFT (PBE)
Peak positions follow from Bragg's law for the DFT cell and can differ from measured ones.

The 6 most intense peaks (2θ from 10° to 80°), by angle:
index  2θ/deg  I_rel
0 2 1  22.79  100
2 0 2  29.26  94
2 2 0  35.39  30
4 0 1  42.51  20
0 2 4  47.59  24
2 2 3  48.18  33

Structural model:
a = 10.1449 Å, b = 10.1449 Å, c = 8.4882 Å
α = 90.00°, β = 90.00°, γ = 120.00°
Space group R32 (No. 155, hexagonal axes)
Symmetry-distinct sites (fractional):
Pr  0.0000  0.0000  0.0000 (multiplicity 3)
Er  0.0000  0.5380  0.0000 (multiplicity 9)
B  0.0000  0.0000  0.5000 (multiplicity 3)
B  0.0000  0.4611  0.5000 (multiplicity 9)
O  0.0000  0.5973  0.5000 (multiplicity 9)
O  0.0000  0.8637  0.5000 (multiplicity 9)
O  0.0069  0.2012  0.1733 (multiplicity 18)